Entry 1:
Diffraction record for CsHSO3. The powder diffractogram is computed, not measured: it uses a crystal structure in the Materials Project, relaxed with GGA-PBE and Cu Kα (λ = 1.5418 Å).
Kinematic intensities with the Lorentz-polarization factor, no thermal factor.

The 12 most intense peaks (2θ = 15–90°), in order of rising 2θ:
Position (°2θ)	d [Å]	intensity
18.85	4.707	43
26.12	3.411	100
27.43	3.251	83
31.30	2.858	18
33.50	2.675	35
38.24	2.353	45
42.09	2.147	27
43.83	2.066	18
47.70	1.906	24
48.50	1.877	14
61.38	1.510	17
63.38	1.468	17

Crystal structure
```
6
Lattice="3.2512 1.8771 2.8582 -3.2512 1.8771 2.8582 0.0000 -3.7542 2.8582" Properties=species:S:1:pos:R:3 pbc="T T T"
Cs 0.0000 0.0000 0.0000
H 0.0000 0.0000 5.1592
S 0.0000 0.0000 3.8034
O -1.2299 -0.7101 3.4077
O 1.2299 -0.7101 3.4077
O 0.0000 1.4201 3.4077
```

***

Entry 2:
Diffraction record for Mg3P2O8. The powder diffractogram is computed, not measured: it uses a crystal structure in the Materials Project, relaxed with GGA-PBE and Cu Kα (λ = 1.5418 Å).
Kinematic intensities with the Lorentz-polarization factor, no thermal factor.

The 12 most intense peaks (2θ = 15–90°), in order of rising 2θ:
Position (°2θ)	d [Å]	intensity
20.43	4.346	58
22.81	3.898	100
23.79	3.739	25
25.36	3.513	36
29.87	2.991	37
32.01	2.796	36
35.37	2.538	53
36.46	2.464	65
39.65	2.273	33
41.55	2.174	26
52.08	1.756	25
62.05	1.496	32

Crystal structure
```
26
Lattice="5.9822 0.0000 0.0000 0.0000 4.7909 0.0000 -0.0591 0.0000 10.3297" Properties=species:S:1:pos:R:3 pbc="T T T"
Mg 0.0000 0.0000 0.0000
Mg -0.0296 2.3955 5.1648
Mg 1.5219 0.0411 7.4597
Mg 1.5514 2.3544 2.2949
Mg 4.3716 2.4365 8.0348
Mg 4.4012 4.7498 2.8699
P 1.4012 2.7441 9.3209
P 1.4308 4.4423 4.1560
P 4.4923 0.3486 6.1736
P 4.5219 2.0469 1.0088
O 0.1492 3.4898 8.6622
O 0.1788 3.6966 3.4974
O 1.3104 1.1850 4.0838
O 1.2809 1.2105 9.2486
O 1.4573 3.2859 0.4438
O 1.4277 3.9005 5.6086
O 2.5824 3.2815 8.4842
O 2.6119 3.9048 3.3194
O 3.3112 0.8861 7.0102
O 3.3407 1.5094 1.8454
O 4.4953 0.8905 4.7210
O 4.4658 1.5050 9.8858
O 4.6422 3.5804 1.0811
O 4.6126 3.6059 6.2459
O 5.7443 1.0943 6.8323
O 5.7739 1.3011 1.6675
```